Calculated X-ray diffraction stick pattern
Compound: Cs3Mn2Cl5F2
Radiation: Cu Kα (λ = 1.5418 Å)
Structure: a crystal structure in Alexandria, relaxed with PBE+U
Peak positions follow from Bragg's law for the DFT cell and can differ from measured ones.

Crystal structure
Unit cell a=12.900 b=12.900 c=12.900 alpha=156.52 beta=156.52 gamma=33.44
Sites, in units of the cell vectors:
Cs (0.000, 0.000, 0.000)
Cs (0.195, 0.195, 0.000)
Cs (0.805, 0.805, 0.000)
Mn (0.394, 0.394, 0.000)
Mn (0.606, 0.606, 0.000)
Cl (0.104, 0.604, 0.500)
Cl (0.396, 0.896, 0.500)
Cl (0.500, 0.500, 0.000)
Cl (0.604, 0.104, 0.500)
Cl (0.896, 0.396, 0.500)
F (0.312, 0.312, 0.000)
F (0.688, 0.688, 0.000)

Most intense lines, 2θ = 10–90°, by intensity:
| 2theta | d/Å | I_rel |
| --- | --- | --- |
| 24.75 | 3.598 | 100.0 |
| 34.17 | 2.624 | 62.9 |
| 23.98 | 3.711 | 56.9 |
| 42.64 | 2.120 | 46.6 |
| 32.48 | 2.757 | 34.5 |
| 50.75 | 1.799 | 34.2 |
| 36.36 | 2.471 | 23.7 |
| 28.05 | 3.181 | 23.5 |
| 49.09 | 1.856 | 21.0 |
| 44.03 | 2.057 | 19.4 |
| 62.60 | 1.484 | 17.6 |
| 67.02 | 1.396 | 12.3 |